1.
Calculated X-ray powder pattern of TiTl2Rh for a wavelength of 1.5418 Å, from the PBE geometry in Alexandria.
Neutral-atom scattering factors, no anomalous dispersion.

The 9 most intense peaks (2θ from 10° to 80°), in order of falling intensity:
- d = 2.378 Å, I 100.0
- d = 1.373 Å, I 35.3
- d = 3.364 Å, I 24.3
- d = 1.682 Å, I 17.4
- d = 1.504 Å, I 10.4
- d = 1.942 Å, I 7.5
- d = 3.884 Å, I 2.7
- d = 2.028 Å, I 1.4
- d = 1.543 Å, I 0.6

Atomic structure:
Cell lengths 6.7270, 6.7270, 6.7270 Å; angles 90.00, 90.00, 90.00 degrees
Space group Fm-3m (No. 225)
Inequivalent atoms, fractional coordinates:
Ti1 0.0000 0.0000 0.0000 (multiplicity 4)
Tl1 0.2500 0.2500 0.2500 (multiplicity 8)
Rh1 0.0000 0.0000 0.5000 (multiplicity 4)

=====

2.
Calculated X-ray powder pattern of TiV2Rh4 for a wavelength of 1.5418 Å, from the PBE geometry in Alexandria.
Neutral-atom scattering factors, no anomalous dispersion.

The 10 most intense peaks (2θ from 10° to 80°), in order of falling intensity:
- d = 2.139 Å, I 100.0
- d = 2.110 Å, I 67.7
- d = 2.425 Å, I 35.2
- d = 1.283 Å, I 23.6
- d = 1.502 Å, I 21.9
- d = 1.229 Å, I 21.9
- d = 2.800 Å, I 17.7
- d = 3.208 Å, I 16.1
- d = 1.235 Å, I 15.7
- d = 1.604 Å, I 14.3

Atomic structure:
Cell lengths 4.2778, 4.2778, 12.8318 Å; angles 90.00, 90.00, 120.00 degrees
Space group P6_3/mmc (No. 194)
Inequivalent atoms, fractional coordinates:
Ti1 0.0000 0.0000 0.2500 (multiplicity 2)
V1 0.3333 0.6667 0.0592 (multiplicity 4)
Rh1 0.0000 0.0000 0.0000 (multiplicity 2)
Rh2 0.3333 0.6667 0.2500 (multiplicity 2)
Rh3 0.3333 0.6667 0.6355 (multiplicity 4)